The following is a theoretical powder X-ray diffraction pattern of K2USO7F2. It was derived from DFT lattice parameters and positions (GGA-PBE), using a wavelength of 1.5418 Å.
Kinematic intensities with the Lorentz-polarization factor, no thermal factor.

The 6 most intense peaks (2θ = 10–90°), in order of rising 2θ:
d = 6.831 Å, 2θ = 12.96°, rel. 100
d = 6.332 Å, 2θ = 13.99°, rel. 33
d = 5.467 Å, 2θ = 16.21°, rel. 72
d = 3.818 Å, 2θ = 23.30°, rel. 36
d = 3.614 Å, 2θ = 24.64°, rel. 62
d = 3.364 Å, 2θ = 26.49°, rel. 46

Structural model:
```
data_K2USO7F2
_cell_length_a 9.359
_cell_length_b 8.748
_cell_length_c 11.152
_cell_angle_alpha 90.00
_cell_angle_beta 101.32
_cell_angle_gamma 90.00
_space_group_name_H-M_alt 'P 1'
_space_group_IT_number 1
loop_
_space_group_symop_operation_xyz
'x,y,z'
loop_
_atom_site_label
_atom_site_type_symbol
_atom_site_fract_x
_atom_site_fract_y
_atom_site_fract_z
K1 K 0.079 0.047 0.352
K2 K 0.079 0.453 0.852
K3 K 0.416 0.524 0.197
K4 K 0.416 0.976 0.697
K5 K 0.584 0.024 0.303
K6 K 0.584 0.476 0.803
K7 K 0.921 0.547 0.148
K8 K 0.921 0.953 0.648
U1 U 0.190 0.605 0.511
U2 U 0.190 0.895 0.011
U3 U 0.810 0.105 0.989
U4 U 0.810 0.395 0.489
S1 S 0.428 0.226 0.994
S2 S 0.428 0.274 0.494
S3 S 0.572 0.726 0.506
S4 S 0.572 0.774 0.006
O1 O 0.146 0.658 0.350
O2 O 0.146 0.842 0.850
O3 O 0.161 0.188 0.712
O4 O 0.161 0.312 0.212
O5 O 0.233 0.548 0.671
O6 O 0.233 0.952 0.171
O7 O 0.341 0.086 0.941
O8 O 0.341 0.414 0.441
O9 O 0.355 0.134 0.443
O10 O 0.355 0.366 0.943
O11 O 0.428 0.714 0.548
O12 O 0.428 0.786 0.048
O13 O 0.453 0.223 0.128
O14 O 0.453 0.277 0.628
O15 O 0.547 0.723 0.372
O16 O 0.547 0.777 0.872
O17 O 0.572 0.214 0.952
O18 O 0.572 0.286 0.452
O19 O 0.645 0.634 0.057
O20 O 0.645 0.866 0.557
O21 O 0.659 0.586 0.559
O22 O 0.659 0.914 0.059
O23 O 0.767 0.048 0.829
O24 O 0.767 0.452 0.329
O25 O 0.839 0.688 0.788
O26 O 0.839 0.812 0.288
O27 O 0.854 0.158 0.150
O28 O 0.854 0.342 0.650
F1 F 0.053 0.125 0.970
F2 F 0.053 0.375 0.470
F3 F 0.155 0.651 0.055
F4 F 0.155 0.849 0.555
F5 F 0.845 0.151 0.445
F6 F 0.845 0.349 0.945
F7 F 0.947 0.625 0.530
F8 F 0.947 0.875 0.030
```

***

The following is a theoretical powder X-ray diffraction pattern of K2ScSi4O10F. It was derived from DFT lattice parameters and positions (GGA-PBE), using a wavelength of 1.5418 Å.
Kinematic intensities with the Lorentz-polarization factor, no thermal factor.

The 6 most intense peaks (2θ = 10–90°), in order of rising 2θ:
d = 4.134 Å, 2θ = 21.49°, rel. 30
d = 3.585 Å, 2θ = 24.84°, rel. 45
d = 3.437 Å, 2θ = 25.93°, rel. 100
d = 3.340 Å, 2θ = 26.69°, rel. 52
d = 2.878 Å, 2θ = 31.08°, rel. 28
d = 2.673 Å, 2θ = 33.53°, rel. 41

Structural model:
```
data_K2ScSi4O10F
_cell_length_a 9.019
_cell_length_b 9.019
_cell_length_c 9.019
_cell_angle_alpha 102.13
_cell_angle_beta 102.13
_cell_angle_gamma 125.43
_space_group_name_H-M_alt 'P 1'
_space_group_IT_number 1
loop_
_space_group_symop_operation_xyz
'x,y,z'
loop_
_atom_site_label
_atom_site_type_symbol
_atom_site_fract_x
_atom_site_fract_y
_atom_site_fract_z
K1 K 0.184 0.184 0.368
K2 K 0.184 0.816 0.000
K3 K 0.816 0.184 0.000
K4 K 0.816 0.816 0.632
Sc1 Sc 0.255 0.255 0.000
Sc2 Sc 0.745 0.745 0.000
Si1 Si 0.005 0.702 0.324
Si2 Si 0.298 0.622 0.303
Si3 Si 0.319 0.995 0.697
Si4 Si 0.378 0.681 0.676
Si5 Si 0.622 0.319 0.324
Si6 Si 0.681 0.005 0.303
Si7 Si 0.702 0.378 0.697
Si8 Si 0.995 0.298 0.676
O1 O 0.051 0.237 0.817
O2 O 0.092 0.591 0.270
O3 O 0.178 0.908 0.499
O4 O 0.183 0.448 0.631
O5 O 0.234 0.051 0.815
O6 O 0.237 0.419 0.185
O7 O 0.321 0.822 0.730
O8 O 0.409 0.679 0.501
O9 O 0.419 0.234 0.183
O10 O 0.448 0.817 0.265
O11 O 0.552 0.183 0.735
O12 O 0.581 0.766 0.817
O13 O 0.591 0.321 0.499
O14 O 0.679 0.178 0.270
O15 O 0.763 0.581 0.815
O16 O 0.766 0.949 0.185
O17 O 0.817 0.552 0.369
O18 O 0.822 0.092 0.501
O19 O 0.908 0.409 0.730
O20 O 0.949 0.763 0.183
F1 F 0.000 0.000 0.000
F2 F 0.500 0.500 0.000
```

***

The following is a theoretical powder X-ray diffraction pattern of KSeO2F. It was derived from DFT lattice parameters and positions (GGA-PBE), using a wavelength of 1.5418 Å.
Kinematic intensities with the Lorentz-polarization factor, no thermal factor.

The 6 most intense peaks (2θ = 10–90°), in order of rising 2θ:
d = 4.639 Å, 2θ = 19.13°, rel. 38
d = 3.555 Å, 2θ = 25.05°, rel. 100
d = 3.086 Å, 2θ = 28.93°, rel. 36
d = 3.056 Å, 2θ = 29.22°, rel. 83
d = 2.902 Å, 2θ = 30.81°, rel. 34
d = 2.285 Å, 2θ = 39.44°, rel. 32

Structural model:
```
data_KSeO2F
_cell_length_a 4.570
_cell_length_b 6.172
_cell_length_c 7.377
_cell_angle_alpha 90.00
_cell_angle_beta 107.51
_cell_angle_gamma 90.00
_space_group_name_H-M_alt 'P 1'
_space_group_IT_number 1
loop_
_space_group_symop_operation_xyz
'x,y,z'
loop_
_atom_site_label
_atom_site_type_symbol
_atom_site_fract_x
_atom_site_fract_y
_atom_site_fract_z
K1 K 0.158 0.250 0.325
K2 K 0.842 0.750 0.675
Se1 Se 0.428 0.250 0.840
Se2 Se 0.572 0.750 0.160
O1 O 0.354 0.033 0.699
O2 O 0.354 0.467 0.699
O3 O 0.646 0.533 0.301
O4 O 0.646 0.967 0.301
F1 F 0.056 0.250 0.916
F2 F 0.944 0.750 0.084
```

***

The following is a theoretical powder X-ray diffraction pattern of K9Y3Si12O32F2. It was derived from DFT lattice parameters and positions (GGA-PBE), using a wavelength of 1.5418 Å.
Kinematic intensities with the Lorentz-polarization factor, no thermal factor.

The 6 most intense peaks (2θ = 10–90°), in order of rising 2θ:
d = 3.349 Å, 2θ = 26.61°, rel. 65
d = 3.279 Å, 2θ = 27.19°, rel. 100
d = 3.171 Å, 2θ = 28.14°, rel. 78
d = 3.131 Å, 2θ = 28.51°, rel. 64
d = 3.038 Å, 2θ = 29.40°, rel. 62
d = 2.743 Å, 2θ = 32.65°, rel. 60

Structural model:
```
data_K9Y3Si12O32F2
_cell_length_a 6.935
_cell_length_b 11.521
_cell_length_c 11.534
_cell_angle_alpha 87.86
_cell_angle_beta 89.74
_cell_angle_gamma 80.45
_space_group_name_H-M_alt 'P 1'
_space_group_IT_number 1
loop_
_space_group_symop_operation_xyz
'x,y,z'
loop_
_atom_site_label
_atom_site_type_symbol
_atom_site_fract_x
_atom_site_fract_y
_atom_site_fract_z
K1 K 0.000 0.000 0.000
K2 K 0.234 0.386 0.983
K3 K 0.329 0.194 0.224
K4 K 0.337 0.155 0.786
K5 K 0.478 0.669 0.489
K6 K 0.522 0.331 0.511
K7 K 0.663 0.845 0.214
K8 K 0.671 0.806 0.776
K9 K 0.766 0.614 0.017
Y1 Y 0.012 0.511 0.663
Y2 Y 0.500 0.000 0.500
Y3 Y 0.988 0.489 0.337
Si1 Si 0.058 0.233 0.510
Si2 Si 0.156 0.909 0.303
Si3 Si 0.163 0.865 0.689
Si4 Si 0.190 0.695 0.159
Si5 Si 0.213 0.667 0.879
Si6 Si 0.486 0.487 0.258
Si7 Si 0.514 0.513 0.742
Si8 Si 0.787 0.333 0.121
Si9 Si 0.810 0.305 0.841
Si10 Si 0.837 0.135 0.311
Si11 Si 0.844 0.091 0.697
Si12 Si 0.942 0.767 0.490
O1 O 0.004 0.647 0.215
O2 O 0.009 0.792 0.625
O3 O 0.030 0.376 0.515
O4 O 0.039 0.604 0.834
O5 O 0.042 0.994 0.727
O6 O 0.110 0.814 0.405
O7 O 0.192 0.836 0.182
O8 O 0.198 0.685 0.018
O9 O 0.220 0.798 0.817
O10 O 0.274 0.163 0.539
O11 O 0.311 0.428 0.314
O12 O 0.336 0.508 0.654
O13 O 0.343 0.966 0.334
O14 O 0.355 0.877 0.616
O15 O 0.404 0.626 0.210
O16 O 0.432 0.585 0.861
O17 O 0.568 0.415 0.139
O18 O 0.596 0.374 0.790
O19 O 0.645 0.123 0.384
O20 O 0.657 0.034 0.666
O21 O 0.664 0.492 0.346
O22 O 0.689 0.572 0.686
O23 O 0.726 0.837 0.461
O24 O 0.780 0.202 0.183
O25 O 0.802 0.315 0.982
O26 O 0.808 0.164 0.818
O27 O 0.890 0.186 0.595
O28 O 0.958 0.006 0.273
O29 O 0.961 0.396 0.166
O30 O 0.970 0.624 0.485
O31 O 0.991 0.208 0.375
O32 O 0.996 0.353 0.785
F1 F 0.253 0.159 0.005
F2 F 0.747 0.841 0.995
```

***

The following is a theoretical powder X-ray diffraction pattern of K5Y2Si4O13F. It was derived from DFT lattice parameters and positions (GGA-PBE), using a wavelength of 1.5418 Å.
Kinematic intensities with the Lorentz-polarization factor, no thermal factor.

The 6 most intense peaks (2θ = 10–90°), in order of rising 2θ:
d = 4.437 Å, 2θ = 20.01°, rel. 53
d = 3.021 Å, 2θ = 29.57°, rel. 62
d = 2.919 Å, 2θ = 30.63°, rel. 71
d = 2.885 Å, 2θ = 31.00°, rel. 100
d = 2.775 Å, 2θ = 32.26°, rel. 35
d = 2.218 Å, 2θ = 40.67°, rel. 61

Structural model:
```
data_K5Y2Si4O13F
_cell_length_a 7.253
_cell_length_b 5.838
_cell_length_c 18.319
_cell_angle_alpha 90.00
_cell_angle_beta 92.14
_cell_angle_gamma 90.00
_space_group_name_H-M_alt 'P 1'
_space_group_IT_number 1
loop_
_space_group_symop_operation_xyz
'x,y,z'
loop_
_atom_site_label
_atom_site_type_symbol
_atom_site_fract_x
_atom_site_fract_y
_atom_site_fract_z
K1 K 0.024 0.250 0.250
K2 K 0.241 0.750 0.990
K3 K 0.295 0.250 0.686
K4 K 0.303 0.250 0.496
K5 K 0.368 0.750 0.194
K6 K 0.632 0.250 0.806
K7 K 0.697 0.750 0.504
K8 K 0.705 0.750 0.314
K9 K 0.759 0.250 0.010
K10 K 0.976 0.750 0.750
Y1 Y 0.097 0.250 0.871
Y2 Y 0.166 0.750 0.390
Y3 Y 0.834 0.250 0.610
Y4 Y 0.903 0.750 0.129
Si1 Si 0.164 0.750 0.583
Si2 Si 0.211 0.250 0.077
Si3 Si 0.417 0.750 0.832
Si4 Si 0.459 0.250 0.327
Si5 Si 0.541 0.750 0.673
Si6 Si 0.583 0.250 0.168
Si7 Si 0.789 0.750 0.923
Si8 Si 0.836 0.250 0.417
O1 O 0.047 0.516 0.594
O2 O 0.047 0.984 0.594
O3 O 0.124 0.017 0.111
O4 O 0.124 0.483 0.111
O5 O 0.186 0.250 0.987
O6 O 0.273 0.750 0.506
O7 O 0.294 0.517 0.830
O8 O 0.294 0.983 0.830
O9 O 0.316 0.750 0.656
O10 O 0.369 0.015 0.355
O11 O 0.369 0.485 0.355
O12 O 0.436 0.250 0.236
O13 O 0.442 0.250 0.094
O14 O 0.558 0.750 0.906
O15 O 0.564 0.750 0.764
O16 O 0.631 0.515 0.645
O17 O 0.631 0.985 0.645
O18 O 0.684 0.250 0.344
O19 O 0.706 0.017 0.170
O20 O 0.706 0.483 0.170
O21 O 0.727 0.250 0.494
O22 O 0.814 0.750 0.013
O23 O 0.876 0.517 0.889
O24 O 0.876 0.983 0.889
O25 O 0.953 0.016 0.406
O26 O 0.953 0.484 0.406
F1 F 0.038 0.750 0.257
F2 F 0.962 0.250 0.743
```

***

The following is a theoretical powder X-ray diffraction pattern of K3TaO2F7. It was derived from DFT lattice parameters and positions (GGA-PBE), using a wavelength of 1.5418 Å.
Kinematic intensities with the Lorentz-polarization factor, no thermal factor.

The 6 most intense peaks (2θ = 10–90°), in order of rising 2θ:
d = 5.377 Å, 2θ = 16.49°, rel. 100
d = 4.883 Å, 2θ = 18.17°, rel. 22
d = 4.227 Å, 2θ = 21.02°, rel. 58
d = 3.623 Å, 2θ = 24.57°, rel. 22
d = 3.510 Å, 2θ = 25.38°, rel. 68
d = 2.907 Å, 2θ = 30.76°, rel. 24

Structural model:
```
data_K3TaO2F7
_cell_length_a 7.245
_cell_length_b 9.767
_cell_length_c 14.067
_cell_angle_alpha 90.00
_cell_angle_beta 90.00
_cell_angle_gamma 90.00
_space_group_name_H-M_alt 'P 1'
_space_group_IT_number 1
loop_
_space_group_symop_operation_xyz
'x,y,z'
loop_
_atom_site_label
_atom_site_type_symbol
_atom_site_fract_x
_atom_site_fract_y
_atom_site_fract_z
K1 K 0.218 0.016 0.152
K2 K 0.218 0.484 0.152
K3 K 0.235 0.250 0.827
K4 K 0.265 0.750 0.327
K5 K 0.282 0.516 0.652
K6 K 0.282 0.984 0.652
K7 K 0.718 0.016 0.348
K8 K 0.718 0.484 0.348
K9 K 0.735 0.250 0.673
K10 K 0.765 0.750 0.173
K11 K 0.782 0.516 0.848
K12 K 0.782 0.984 0.848
Ta1 Ta 0.211 0.750 0.928
Ta2 Ta 0.289 0.250 0.428
Ta3 Ta 0.711 0.750 0.572
Ta4 Ta 0.789 0.250 0.072
O1 O 0.013 0.181 0.444
O2 O 0.013 0.319 0.444
O3 O 0.487 0.681 0.944
O4 O 0.487 0.819 0.944
O5 O 0.513 0.181 0.056
O6 O 0.513 0.319 0.056
O7 O 0.987 0.681 0.556
O8 O 0.987 0.819 0.556
F1 F 0.001 0.086 0.729
F2 F 0.001 0.414 0.729
F3 F 0.056 0.250 0.087
F4 F 0.166 0.553 0.932
F5 F 0.166 0.947 0.932
F6 F 0.196 0.750 0.065
F7 F 0.246 0.250 0.293
F8 F 0.254 0.750 0.793
F9 F 0.304 0.250 0.565
F10 F 0.334 0.053 0.432
F11 F 0.334 0.447 0.432
F12 F 0.444 0.750 0.587
F13 F 0.499 0.586 0.229
F14 F 0.499 0.914 0.229
F15 F 0.501 0.086 0.771
F16 F 0.501 0.414 0.771
F17 F 0.556 0.250 0.413
F18 F 0.666 0.553 0.568
F19 F 0.666 0.947 0.568
F20 F 0.696 0.750 0.435
F21 F 0.746 0.250 0.207
F22 F 0.754 0.750 0.707
F23 F 0.804 0.250 0.935
F24 F 0.834 0.053 0.068
F25 F 0.834 0.447 0.068
F26 F 0.944 0.750 0.913
F27 F 0.999 0.586 0.271
F28 F 0.999 0.914 0.271
```